1.
For Dy5Er4Hg, a crystal structure in Alexandria, relaxed with PBE gives the calculated XRD peak list in this record (CuKα).
Peak positions follow from Bragg's law for the DFT cell and can differ from measured ones.

Main lines, low angle first (2θ from 10° to 90°):
Position (°2θ)	I/Imax
31.4	100
35.8	38
37.7	12
51.6	14
53.0	19
61.7	30
65.6	10
86.7	9

abc: 3.543 3.543 23.873
angles: 90.00 90.00 90.00
Fractional coordinates of all 10 atoms:
Dy (0.000, 0.000, 0.000)
Dy (0.000, 0.000, 0.207)
Dy (0.000, 0.000, 0.414)
Dy (0.000, 0.000, 0.586)
Dy (0.000, 0.000, 0.793)
Er (0.500, 0.500, 0.103)
Er (0.500, 0.500, 0.310)
Er (0.500, 0.500, 0.690)
Er (0.500, 0.500, 0.897)
Hg (0.500, 0.500, 0.500)

2.
For Y9Tm4Pu, a crystal structure in Alexandria, relaxed with PBE gives the calculated XRD peak list in this record (CuKα).
Peak positions follow from Bragg's law for the DFT cell and can differ from measured ones.

Main lines, low angle first (2θ from 10° to 90°):
Position (°2θ)	I/Imax
22.6	22
32.4	26
32.5	100
33.0	30
52.9	15
56.9	14
57.3	13
67.1	20

abc: 9.708 9.708 11.014
angles: 90.00 90.00 120.00
Fractional coordinates of all 28 atoms:
Y (0.074, 0.537, 0.250)
Y (0.209, 0.418, 0.534)
Y (0.209, 0.418, 0.966)
Y (0.209, 0.791, 0.534)
Y (0.209, 0.791, 0.966)
Y (0.418, 0.209, 0.034)
Y (0.418, 0.209, 0.466)
Y (0.463, 0.537, 0.250)
Y (0.463, 0.926, 0.250)
Y (0.537, 0.074, 0.750)
Y (0.537, 0.463, 0.750)
Y (0.582, 0.791, 0.534)
Y (0.582, 0.791, 0.966)
Y (0.791, 0.209, 0.034)
Y (0.791, 0.209, 0.466)
Y (0.791, 0.582, 0.034)
Y (0.791, 0.582, 0.466)
Y (0.926, 0.463, 0.750)
Tm (0.000, 0.000, 0.000)
Tm (0.000, 0.000, 0.500)
Tm (0.111, 0.222, 0.250)
Tm (0.111, 0.889, 0.250)
Tm (0.222, 0.111, 0.750)
Tm (0.778, 0.889, 0.250)
Tm (0.889, 0.111, 0.750)
Tm (0.889, 0.778, 0.750)
Pu (0.333, 0.667, 0.750)
Pu (0.667, 0.333, 0.250)

3.
For BaAc2Tl3, a crystal structure in Alexandria, relaxed with PBE gives the calculated XRD peak list in this record (CuKα).
Peak positions follow from Bragg's law for the DFT cell and can differ from measured ones.

Main lines, low angle first (2θ from 10° to 90°):
Position (°2θ)	I/Imax
30.1	100
43.2	13
53.4	12
53.6	27
62.6	8
71.2	12
86.9	6
87.0	7

abc: 4.188 4.188 12.621
angles: 90.00 90.00 90.00
Fractional coordinates of all 6 atoms:
Ba (0.000, 0.000, 0.000)
Ac (0.000, 0.000, 0.337)
Ac (0.000, 0.000, 0.663)
Tl (0.500, 0.500, 0.183)
Tl (0.500, 0.500, 0.500)
Tl (0.500, 0.500, 0.817)

4.
For Na2PrMoN4, a crystal structure in Alexandria, relaxed with PBE gives the calculated XRD peak list in this record (CuKα).
Peak positions follow from Bragg's law for the DFT cell and can differ from measured ones.

Main lines, low angle first (2θ from 10° to 90°):
Position (°2θ)	I/Imax
20.5	97
29.1	64
34.3	100
40.3	34
41.6	33
46.8	15
55.0	57
64.6	16

abc: 5.433 5.433 5.433
angles: 111.25 111.25 105.97
Fractional coordinates of all 8 atoms:
Na (0.250, 0.750, 0.500)
Na (0.750, 0.250, 0.500)
Pr (0.000, 0.000, 0.000)
Mo (0.500, 0.500, 0.000)
N (0.153, 0.153, 0.659)
N (0.494, 0.494, 0.341)
N (0.506, 0.847, 0.000)
N (0.847, 0.506, 0.000)

5.
For NdY2Lu, a crystal structure in Alexandria, relaxed with PBE gives the calculated XRD peak list in this record (CuKα).
Peak positions follow from Bragg's law for the DFT cell and can differ from measured ones.

Main lines, low angle first (2θ from 10° to 90°):
Position (°2θ)	I/Imax
15.2	12
30.6	100
30.8	33
35.6	67
51.1	24
51.3	23
60.8	42
61.0	14

abc: 11.805 11.805 11.805
angles: 17.43 17.43 17.43
Fractional coordinates of all 4 atoms:
Nd (0.000, 0.000, 0.000)
Y (0.248, 0.248, 0.248)
Y (0.752, 0.752, 0.752)
Lu (0.500, 0.500, 0.500)

6.
For TaNb2Se2S4, a crystal structure in Alexandria, relaxed with PBE gives the calculated XRD peak list in this record (CuKα).
Peak positions follow from Bragg's law for the DFT cell and can differ from measured ones.

Main lines, low angle first (2θ from 10° to 90°):
Position (°2θ)	I/Imax
12.6	100
30.4	26
33.0	23
35.0	17
37.3	46
40.0	17
46.3	27
54.0	20

abc: 3.396 3.396 21.012
angles: 90.00 90.00 120.00
Fractional coordinates of all 9 atoms:
Ta (0.000, 0.000, 0.000)
Nb (0.000, 0.000, 0.649)
Nb (0.667, 0.333, 0.328)
Se (0.667, 0.333, 0.081)
Se (0.667, 0.333, 0.919)
S (0.000, 0.000, 0.254)
S (0.000, 0.000, 0.402)
S (0.667, 0.333, 0.575)
S (0.667, 0.333, 0.723)

Q: Which formula does entry 5 have?
A: NdY2Lu